Structure and simulated PXRD pattern of PmAlZnPt2 (a crystal structure in Alexandria, relaxed with GGA-PBE; Cu Kα, 1.54184 Å).
Neutral-atom scattering factors, no anomalous dispersion.

The 6 most intense peaks (15° ≤ 2θ ≤ 90°), in order of rising 2θ:
31.63 deg, I 100.0
35.06 deg, I 29.9
44.03 deg, I 62.9
45.31 deg, I 33.3
56.32 deg, I 23.9
65.03 deg, I 27.9

Atomic structure:
abc: 4.003 4.003 11.986
angles: 90.00 90.00 90.00
Atoms (fractional coordinates):
Pm (0.000, 0.000, 0.000)
Pm (0.500, 0.500, 0.500)
Al (0.000, 0.500, 0.250)
Al (0.500, 0.000, 0.750)
Zn (0.000, 0.500, 0.750)
Zn (0.500, 0.000, 0.250)
Pt (0.000, 0.000, 0.385)
Pt (0.000, 0.000, 0.615)
Pt (0.500, 0.500, 0.115)
Pt (0.500, 0.500, 0.885)

Structure and simulated PXRD pattern of Pm2Al4Zn3Pt (a crystal structure in Alexandria, relaxed with GGA-PBE; Cu Kα, 1.54184 Å).
Neutral-atom scattering factors, no anomalous dispersion.

The 6 most intense peaks (15° ≤ 2θ ≤ 90°), in order of rising 2θ:
22.62 deg, I 24.4
32.78 deg, I 48.4
34.36 deg, I 100.0
42.82 deg, I 43.3
47.47 deg, I 23.2
54.96 deg, I 22.2

Atomic structure:
abc: 4.223 4.223 10.745
angles: 90.00 90.00 90.00
Atoms (fractional coordinates):
Pm (0.000, 0.500, 0.249)
Pm (0.500, 0.000, 0.751)
Al (0.000, 0.000, 0.500)
Al (0.000, 0.500, 0.871)
Al (0.500, 0.000, 0.129)
Al (0.500, 0.500, 0.500)
Zn (0.000, 0.000, 0.000)
Zn (0.000, 0.500, 0.639)
Zn (0.500, 0.000, 0.361)
Pt (0.500, 0.500, 0.000)

Structure and simulated PXRD pattern of Rb2PmAlS4 (a crystal structure in Alexandria, relaxed with GGA-PBE; Cu Kα, 1.54184 Å).
Neutral-atom scattering factors, no anomalous dispersion.

The 6 most intense peaks (15° ≤ 2θ ≤ 90°), in order of rising 2θ:
25.57 deg, I 46.7
26.71 deg, I 31.2
30.20 deg, I 50.1
30.33 deg, I 100.0
43.33 deg, I 65.8
44.85 deg, I 21.4

Atomic structure:
abc: 8.361 8.361 8.361
angles: 122.20 118.00 89.86
Atoms (fractional coordinates):
Rb (0.000, 0.000, 0.000)
Rb (0.500, 0.000, 0.000)
Rb (0.500, 0.000, 0.500)
Rb (0.500, 0.500, 0.500)
Pm (0.000, 0.500, 0.500)
Pm (0.500, 0.500, 0.000)
Al (0.000, 0.000, 0.500)
Al (0.000, 0.500, 0.000)
S (0.181, 0.740, 0.442)
S (0.202, 0.260, 0.942)
S (0.218, 0.243, 0.525)
S (0.218, 0.693, 0.975)
S (0.782, 0.307, 0.025)
S (0.782, 0.757, 0.475)
S (0.798, 0.740, 0.058)
S (0.819, 0.260, 0.558)

Structure and simulated PXRD pattern of Rb2PmAlTe4 (a crystal structure in Alexandria, relaxed with GGA-PBE; Cu Kα, 1.54184 Å).
Neutral-atom scattering factors, no anomalous dispersion.

The 6 most intense peaks (15° ≤ 2θ ≤ 90°), in order of rising 2θ:
26.73 deg, I 52.4
27.05 deg, I 100.0
29.65 deg, I 16.1
38.39 deg, I 67.7
39.84 deg, I 25.1
48.63 deg, I 19.9

Atomic structure:
abc: 9.388 9.388 9.388
angles: 122.36 118.33 89.43
Atoms (fractional coordinates):
Rb (0.000, 0.000, 0.000)
Rb (0.500, 0.000, 0.000)
Rb (0.500, 0.000, 0.500)
Rb (0.500, 0.500, 0.500)
Pm (0.000, 0.500, 0.500)
Pm (0.500, 0.500, 0.000)
Al (0.000, 0.000, 0.500)
Al (0.000, 0.500, 0.000)
Te (0.186, 0.739, 0.447)
Te (0.207, 0.261, 0.947)
Te (0.225, 0.247, 0.522)
Te (0.225, 0.702, 0.978)
Te (0.775, 0.298, 0.022)
Te (0.775, 0.753, 0.478)
Te (0.793, 0.739, 0.053)
Te (0.814, 0.261, 0.553)

Structure and simulated PXRD pattern of Pm3Al9Rh2 (a crystal structure in Alexandria, relaxed with GGA-PBE; Cu Kα, 1.54184 Å).
Neutral-atom scattering factors, no anomalous dispersion.

The 6 most intense peaks (15° ≤ 2θ ≤ 90°), in order of rising 2θ:
22.35 deg, I 47.3
23.02 deg, I 22.8
28.31 deg, I 24.6
34.86 deg, I 100.0
36.36 deg, I 24.6
41.44 deg, I 32.6

Atomic structure:
abc: 8.271 8.271 8.271
angles: 149.47 107.50 80.68
Atoms (fractional coordinates):
Pm (0.000, 0.000, 0.000)
Pm (0.298, 0.298, 0.000)
Pm (0.702, 0.702, 0.000)
Al (0.012, 0.653, 0.360)
Al (0.156, 0.873, 0.283)
Al (0.293, 0.653, 0.640)
Al (0.410, 0.127, 0.283)
Al (0.500, 0.000, 0.500)
Al (0.590, 0.873, 0.717)
Al (0.707, 0.347, 0.360)
Al (0.844, 0.127, 0.717)
Al (0.988, 0.347, 0.640)
Rh (0.316, 0.500, 0.816)
Rh (0.684, 0.500, 0.184)

Structure and simulated PXRD pattern of Pm3AlRh2 (a crystal structure in Alexandria, relaxed with GGA-PBE; Cu Kα, 1.54184 Å).
Neutral-atom scattering factors, no anomalous dispersion.

The 6 most intense peaks (15° ≤ 2θ ≤ 90°), in order of rising 2θ:
17.45 deg, I 50.9
27.10 deg, I 74.6
30.65 deg, I 100.0
33.71 deg, I 63.1
42.45 deg, I 49.0
42.81 deg, I 51.1

Atomic structure:
abc: 8.178 8.178 10.519
angles: 114.25 114.25 29.94
Atoms (fractional coordinates):
Pm (0.048, 0.048, 0.228)
Pm (0.211, 0.211, 0.607)
Pm (0.346, 0.346, 0.000)
Pm (0.654, 0.654, 0.000)
Pm (0.789, 0.789, 0.393)
Pm (0.952, 0.952, 0.772)
Al (0.433, 0.433, 0.352)
Al (0.567, 0.567, 0.648)
Rh (0.142, 0.142, 0.813)
Rh (0.390, 0.390, 0.572)
Rh (0.610, 0.610, 0.428)
Rh (0.858, 0.858, 0.187)

Structure and simulated PXRD pattern of Pm6Al2Rh (a crystal structure in Alexandria, relaxed with GGA-PBE; Cu Kα, 1.54184 Å).
Neutral-atom scattering factors, no anomalous dispersion.

The 6 most intense peaks (15° ≤ 2θ ≤ 90°), in order of rising 2θ:
24.46 deg, I 31.3
24.90 deg, I 58.7
35.19 deg, I 100.0
35.38 deg, I 25.1
35.61 deg, I 23.6
63.39 deg, I 18.0

Atomic structure:
abc: 8.768 8.768 8.768
angles: 146.37 130.97 60.78
Atoms (fractional coordinates):
Pm (0.084, 0.341, 0.743)
Pm (0.239, 0.000, 0.239)
Pm (0.402, 0.659, 0.743)
Pm (0.598, 0.341, 0.257)
Pm (0.761, 0.000, 0.761)
Pm (0.916, 0.659, 0.257)
Al (0.333, 0.833, 0.500)
Al (0.667, 0.167, 0.500)
Rh (0.000, 0.500, 0.500)

Structure and simulated PXRD pattern of Pm12AlRh6 (a crystal structure in Alexandria, relaxed with GGA-PBE; Cu Kα, 1.54184 Å).
Neutral-atom scattering factors, no anomalous dispersion.

The 6 most intense peaks (15° ≤ 2θ ≤ 90°), in order of rising 2θ:
30.67 deg, I 22.7
33.20 deg, I 100.0
45.83 deg, I 21.7
52.87 deg, I 23.1
56.16 deg, I 27.1
82.12 deg, I 16.3

Atomic structure:
abc: 8.744 8.744 8.744
angles: 109.47 109.47 109.47
Atoms (fractional coordinates):
Pm (0.116, 0.302, 0.814)
Pm (0.186, 0.487, 0.302)
Pm (0.186, 0.884, 0.698)
Pm (0.302, 0.186, 0.487)
Pm (0.302, 0.814, 0.116)
Pm (0.487, 0.302, 0.186)
Pm (0.513, 0.698, 0.814)
Pm (0.698, 0.186, 0.884)
Pm (0.698, 0.814, 0.513)
Pm (0.814, 0.116, 0.302)
Pm (0.814, 0.513, 0.698)
Pm (0.884, 0.698, 0.186)
Al (0.000, 0.000, 0.000)
Rh (0.131, 0.500, 0.631)
Rh (0.369, 0.869, 0.500)
Rh (0.500, 0.369, 0.869)
Rh (0.500, 0.631, 0.131)
Rh (0.631, 0.131, 0.500)
Rh (0.869, 0.500, 0.369)

Structure and simulated PXRD pattern of Pm3AlSe6 (a crystal structure in Alexandria, relaxed with GGA-PBE; Cu Kα, 1.54184 Å).
Neutral-atom scattering factors, no anomalous dispersion.

The 6 most intense peaks (15° ≤ 2θ ≤ 90°), in order of rising 2θ:
23.77 deg, I 97.9
24.08 deg, I 54.2
32.82 deg, I 100.0
35.66 deg, I 93.7
36.30 deg, I 72.3
39.53 deg, I 59.2

Atomic structure:
abc: 9.125 9.125 6.896
angles: 90.00 90.00 102.32
Atoms (fractional coordinates):
Pm (0.099, 0.901, 0.500)
Pm (0.218, 0.416, 0.598)
Pm (0.416, 0.218, 0.098)
Pm (0.584, 0.782, 0.598)
Pm (0.782, 0.584, 0.098)
Pm (0.901, 0.099, 0.000)
Al (0.300, 0.700, 0.137)
Al (0.700, 0.300, 0.637)
Se (0.070, 0.599, 0.307)
Se (0.131, 0.193, 0.298)
Se (0.193, 0.131, 0.798)
Se (0.282, 0.718, 0.790)
Se (0.401, 0.930, 0.307)
Se (0.459, 0.541, 0.275)
Se (0.541, 0.459, 0.775)
Se (0.599, 0.070, 0.807)
Se (0.718, 0.282, 0.290)
Se (0.807, 0.869, 0.298)
Se (0.869, 0.807, 0.798)
Se (0.930, 0.401, 0.807)

Structure and simulated PXRD pattern of Pm2Al2Se5 (a crystal structure in Alexandria, relaxed with GGA-PBE; Cu Kα, 1.54184 Å).
Neutral-atom scattering factors, no anomalous dispersion.

The 6 most intense peaks (15° ≤ 2θ ≤ 90°), in order of rising 2θ:
21.30 deg, I 43.5
29.11 deg, I 59.7
30.36 deg, I 100.0
35.83 deg, I 64.9
35.97 deg, I 54.2
40.20 deg, I 48.2

Atomic structure:
abc: 7.508 7.508 7.532
angles: 118.05 118.05 39.00
Atoms (fractional coordinates):
Pm (0.117, 0.117, 0.281)
Pm (0.883, 0.883, 0.719)
Al (0.351, 0.351, 0.131)
Al (0.649, 0.649, 0.869)
Se (0.139, 0.139, 0.907)
Se (0.354, 0.354, 0.466)
Se (0.500, 0.500, 0.000)
Se (0.646, 0.646, 0.534)
Se (0.861, 0.861, 0.093)